Calculated X-ray powder pattern of Nd4Dy5Y4 for Cu Kα (weighted mean of Kα1 and Kα2), from a GGA-PBE-relaxed structure.
Kinematic intensities with the Lorentz-polarization factor, no thermal factor.

Largest 10 diffraction maxima, sorted by position, 15° ≤ 2θ ≤ 90°:
d 2.935, 2θ = 30.46°, I = 100
d 2.545, 2θ = 35.26°, I = 34
d 2.535, 2θ = 35.41°, I = 17
d 1.800, 2θ = 50.73°, I = 12
d 1.796, 2θ = 50.84°, I = 24
d 1.534, 2θ = 60.33°, I = 28
d 1.530, 2θ = 60.52°, I = 14
d 1.467, 2θ = 63.38°, I = 12
d 1.166, 2θ = 82.82°, I = 12
d 1.138, 2θ = 85.31°, I = 11

```
13
Lattice="-6.4887 6.4887 2.5350 6.4887 -6.4887 2.5350 6.4887 6.4887 -2.5350" Properties=species:S:1:pos:R:3 pbc="T T T"
Nd 8.0069 1.0101 0.0000
Nd 1.0101 4.9705 0.0000
Nd 5.4786 1.5182 2.5350
Nd -1.5182 5.4786 2.5350
Dy 0.0000 0.0000 0.0000
Dy 5.9878 4.0295 0.0000
Dy 2.4592 -0.5009 2.5350
Dy 4.0295 6.9896 0.0000
Dy 0.5009 2.4592 2.5350
Y 2.9736 1.9848 0.0000
Y 4.5039 -3.5151 2.5350
Y 1.9848 10.0038 0.0000
Y 3.5151 4.5039 2.5350
```

---

Calculated X-ray powder pattern of CsYZnCl6 for Cu Kα (weighted mean of Kα1 and Kα2), from a GGA-PBE-relaxed structure.
Kinematic intensities with the Lorentz-polarization factor, no thermal factor.

Largest 10 diffraction maxima, sorted by position, 15° ≤ 2θ ≤ 90°:
d 4.686, 2θ = 18.94°, I = 100
d 3.386, 2θ = 26.32°, I = 16
d 3.106, 2θ = 28.75°, I = 19
d 2.745, 2θ = 32.63°, I = 17
d 2.555, 2θ = 35.12°, I = 60
d 2.132, 2θ = 42.39°, I = 24
d 1.955, 2θ = 46.45°, I = 18
d 1.945, 2θ = 46.71°, I = 17
d 1.687, 2θ = 54.38°, I = 23
d 1.592, 2θ = 57.91°, I = 12

```
9
Lattice="6.7725 0.0000 0.0000 -3.3863 5.8652 0.0000 0.0000 0.0000 7.7899" Properties=species:S:1:pos:R:3 pbc="T T T"
Cs 0.0000 0.0000 0.0000
Y 3.3863 1.9551 3.8949
Zn 0.0000 3.9101 3.8949
Cl -1.1994 2.2744 5.3744
Cl -2.0163 3.6893 2.4155
Cl 1.1994 2.2744 2.4155
Cl -0.8169 5.7666 5.3744
Cl 2.0163 3.6893 5.3744
Cl 0.8169 5.7666 2.4155
```

---

Calculated X-ray powder pattern of Al14Cu3Se24 for Cu Kα (weighted mean of Kα1 and Kα2), from a GGA-PBE-relaxed structure.
Kinematic intensities with the Lorentz-polarization factor, no thermal factor.

Largest 10 diffraction maxima, sorted by position, 15° ≤ 2θ ≤ 90°:
d 3.199, 2θ = 27.89°, I = 15
d 3.065, 2θ = 29.14°, I = 100
d 3.037, 2θ = 29.41°, I = 34
d 2.648, 2θ = 33.85°, I = 94
d 1.879, 2θ = 48.44°, I = 55
d 1.866, 2θ = 48.80°, I = 54
d 1.602, 2θ = 57.53°, I = 13
d 1.598, 2θ = 57.69°, I = 27
d 1.533, 2θ = 60.40°, I = 16
d 1.324, 2θ = 71.21°, I = 16

```
41
Lattice="6.4495 -3.7584 0.0000 6.4495 3.7584 0.0000 -0.1171 0.0000 18.3902" Properties=species:S:1:pos:R:3 pbc="T T T"
Al 0.0000 0.0000 0.0000
Al 0.0013 0.0000 7.0519
Al 5.3261 1.7958 3.2441
Al 2.2567 0.0000 3.2564
Al 4.1899 0.0000 13.1970
Al 4.3102 0.0000 6.1536
Al 7.5369 1.9191 15.5183
Al 9.6438 1.7882 9.4097
Al 6.5794 0.0000 9.4321
Al 5.3261 -1.7958 3.2441
Al 8.5497 0.0000 0.8753
Al 8.6784 0.0000 12.4215
Al 7.5369 -1.9191 15.5183
Al 9.6438 -1.7882 9.4097
Cu 0.0422 0.0000 11.7390
Cu 4.3578 0.0000 17.7253
Cu 8.6129 0.0000 5.5448
Se -0.0043 0.0000 4.6017
Se 0.1448 0.0000 14.0784
Se 3.2805 1.7847 4.7095
Se 2.0284 0.0000 17.0261
Se 5.4373 1.9574 16.9141
Se 2.3080 0.0000 7.8746
Se 5.3175 1.7403 7.8705
Se 7.4458 2.0277 1.7527
Se 4.3086 0.0000 1.7861
Se 4.3114 0.0000 10.7066
Se 7.6068 1.7651 10.8923
Se 3.2805 -1.7847 4.7095
Se 6.3546 0.0000 4.6978
Se 6.5896 0.0000 13.9938
Se 9.6850 1.7264 14.0471
Se 5.3175 -1.7403 7.8705
Se 8.6179 0.0000 7.9557
Se 8.6500 0.0000 16.8870
Se 5.4373 -1.9574 16.9141
Se 7.6068 -1.7651 10.8923
Se 10.6953 0.0000 10.8462
Se 10.8886 0.0000 1.7270
Se 7.4458 -2.0277 1.7527
Se 9.6850 -1.7264 14.0471
```